# Eu2Ga7Ag
Simulated PXRD pattern, λ = 1.5418 Å (Cu Kα). Input: a DFT-relaxed cell (PBE, the Materials Project).
Intensities are scaled so that the largest is 100.

Structure:
```
data_Eu2Ga7Ag
_space_group_name_H-M_alt 'P 1'
_space_group_IT_number 1
_space_group_name_Hall 'P 1'
_cell_length_a 4.363
_cell_length_b 4.363
_cell_length_c 10.940
_cell_angle_alpha 90.00
_cell_angle_beta 90.00
_cell_angle_gamma 90.00
loop_
_atom_site_label
_atom_site_type_symbol
_atom_site_fract_x
_atom_site_fract_y
_atom_site_fract_z
_atom_site_occupancy
Eu1 Eu 0.000 0.500 0.249 1
Eu2 Eu 0.500 0.000 0.751 1
Ga1 Ga 0.000 0.000 0.000 1
Ga2 Ga 0.000 0.500 0.636 1
Ga3 Ga 0.000 0.500 0.864 1
Ga4 Ga 0.500 0.000 0.136 1
Ga5 Ga 0.500 0.000 0.364 1
Ga6 Ga 0.500 0.500 0.000 1
Ga7 Ga 0.500 0.500 0.500 1
Ag1 Ag 0.000 0.000 0.500 1
```

Largest 10 diffraction maxima, by angle, 15 to 90 degrees two-theta:
32.0 deg, I = 53.3
33.3 deg, I = 100.0
41.4 deg, I = 51.8
46.4 deg, I = 27.9
53.2 deg, I = 24.9
58.8 deg, I = 11.3
60.0 deg, I = 16.9
63.9 deg, I = 21.1
70.4 deg, I = 22.0
83.4 deg, I = 11.9